This entry pairs a crystal structure of PrZrNO with its computed powder XRD pattern. Radiation: Cu Ka. Structure: a cell relaxed with GGA-PBE.

Principal peaks in the range 10° ≤ 2θ ≤ 80°, by angle:
(hkl), 2theta, intensity
0 1 1, 25.88, 48
1 0 2, 31.89, 100
2 0 0, 37.17, 24
0 1 3, 45.57, 25
0 2 0, 45.75, 18
2 1 1, 45.86, 15
1 2 2, 56.81, 16
2 1 3, 60.20, 21
2 2 0, 60.34, 11
3 0 2, 63.72, 14

Cell and atoms:
```
PrZrNO
1.0
4.8380 0.0000 0.0000
0.0000 3.9676 0.0000
0.0000 0.0000 6.9036
Pr Zr N O
2 2 2 2
Direct
0.2500 0.0000 0.1572 Pr
0.7500 0.0000 0.8428 Pr
0.2500 0.5000 0.6615 Zr
0.7500 0.5000 0.3385 Zr
0.2500 0.5000 0.3610 N
0.7500 0.5000 0.6390 N
0.2500 0.0000 0.7849 O
0.7500 0.0000 0.2151 O
```

***

This entry pairs a crystal structure of ScPtNO with its computed powder XRD pattern. Radiation: Cu Ka. Structure: a cell relaxed with GGA-PBE.

Principal peaks in the range 10° ≤ 2θ ≤ 80°, by angle:
(hkl), 2theta, intensity
0 1 0, 12.06, 100
0 2 0, 24.25, 32
2 0 0, 33.13, 14
1 2 1, 34.22, 27
0 0 2, 34.60, 15
0 1 2, 36.76, 31
2 1 1, 39.54, 19
0 2 2, 42.70, 14
2 1 2, 50.31, 20
1 5 1, 68.69, 15

Cell and atoms:
```
ScPtNO
1.0
5.4083 0.0000 0.0000
0.0000 7.3415 0.0000
0.0000 0.0000 5.1843
Sc Pt N O
4 4 4 4
Direct
0.0325 0.1255 0.0000 Sc
0.4675 0.1255 0.5000 Sc
0.5325 0.8745 0.0000 Sc
0.9675 0.8745 0.5000 Sc
0.0561 0.4582 0.6262 Pt
0.4439 0.4582 0.1262 Pt
0.5561 0.5418 0.6262 Pt
0.9439 0.5418 0.1262 Pt
0.1350 0.3300 0.2885 N
0.3650 0.3300 0.7885 N
0.6350 0.6700 0.2885 N
0.8650 0.6700 0.7885 N
0.2476 0.9657 0.7435 O
0.2524 0.9657 0.2435 O
0.7476 0.0343 0.7435 O
0.7524 0.0343 0.2435 O
```

***

This entry pairs a crystal structure of TePtNO with its computed powder XRD pattern. Radiation: Cu Ka. Structure: a cell relaxed with GGA-PBE.

Principal peaks in the range 10° ≤ 2θ ≤ 80°, by angle:
(hkl), 2theta, intensity
0 1 0, 10.99, 100
1 2 0, 28.10, 52
0 0 2, 30.14, 59
1 2 1, 31.97, 31
0 1 2, 32.17, 34
0 3 0, 33.38, 23
0 2 2, 37.71, 25
2 0 1, 38.01, 30
2 1 1, 39.68, 25
1 3 1, 40.83, 34

Cell and atoms:
```
TePtNO
1.0
5.1646 0.0000 0.0000
0.0000 8.0536 0.0000
0.0000 0.0000 5.9297
Te Pt N O
4 4 4 4
Direct
0.2340 0.1708 0.0000 Te
0.2660 0.1708 0.5000 Te
0.7340 0.8292 0.0000 Te
0.7660 0.8292 0.5000 Te
0.0784 0.5568 0.9028 Pt
0.4216 0.5568 0.4028 Pt
0.5784 0.4432 0.9028 Pt
0.9216 0.4432 0.4028 Pt
0.0983 0.6375 0.5831 N
0.4017 0.6375 0.0831 N
0.5983 0.3625 0.5831 N
0.9017 0.3625 0.0831 N
0.0823 0.9444 0.9976 O
0.4177 0.9444 0.4976 O
0.5823 0.0556 0.9976 O
0.9177 0.0556 0.4976 O
```